Entry 1:
Calculated powder XRD pattern
Compound: Li2Mn2CoP3O12
Radiation: Cu Kα X-rays
Structure: a structure optimized by DFT (GGA+U)
Peak positions follow from Bragg's law for the DFT cell and can differ from measured ones.

Peak list (12 most intense, 2θ from 10° to 80°, in order of rising 2θ)
d/Å, I (rel.)
4.497, 1000
4.472, 518
3.813, 748
3.718, 665
3.655, 808
2.745, 663
2.679, 582
2.628, 487
2.601, 421
2.587, 797
1.907, 297
1.859, 252

Cell lengths 8.574, 8.574, 8.268 Å; angles 115.40, 115.40, 62.88 degrees
Fractional coordinates of all 40 atoms:
Li1 0.000 0.000 0.000
Li2 0.111 0.486 0.102
Li3 0.514 0.889 0.898
Li4 0.707 0.293 0.500
Mn1 0.009 0.782 0.605
Mn2 0.218 0.991 0.395
Mn3 0.515 0.292 0.094
Mn4 0.708 0.485 0.906
Co1 0.368 0.140 0.257
Co2 0.860 0.632 0.743
P1 0.112 0.185 0.806
P2 0.299 0.701 0.000
P3 0.405 0.595 0.500
P4 0.616 0.076 0.681
P5 0.815 0.888 0.194
P6 0.924 0.384 0.319
O1 0.043 0.043 0.792
O2 0.104 0.727 0.849
O3 0.112 0.219 0.319
O4 0.182 0.127 0.641
O5 0.249 0.637 0.573
O6 0.264 0.210 0.002
O7 0.273 0.896 0.151
O8 0.325 0.546 0.063
O9 0.363 0.751 0.427
O10 0.425 0.401 0.351
O11 0.454 0.675 0.937
O12 0.470 0.055 0.486
O13 0.549 0.100 0.839
O14 0.599 0.575 0.649
O15 0.618 0.037 0.184
O16 0.677 0.233 0.716
O17 0.767 0.323 0.284
O18 0.781 0.888 0.681
O19 0.790 0.736 0.998
O20 0.873 0.818 0.359
O21 0.900 0.451 0.161
O22 0.945 0.530 0.514
O23 0.957 0.957 0.208
O24 0.963 0.382 0.816

Entry 2:
Calculated powder XRD pattern
Compound: Li2MnCoP2O8
Radiation: Cu Kα X-rays
Structure: a structure optimized by DFT (GGA+U)
Peak positions follow from Bragg's law for the DFT cell and can differ from measured ones.

Peak list (12 most intense, 2θ from 10° to 80°, in order of rising 2θ)
d/Å, I (rel.)
5.221, 309
4.344, 563
3.962, 179
3.535, 783
3.043, 727
2.813, 252
2.553, 1000
2.492, 289
2.399, 192
2.173, 198
1.768, 357
1.673, 180

Cell lengths 4.777, 6.085, 10.442 Å; angles 90.13, 90.00, 90.06 degrees
Fractional coordinates of all 28 atoms:
Li1 0.000 0.000 0.000
Li2 0.001 0.498 0.000
Li3 0.502 0.499 0.500
Li4 0.502 0.998 0.501
Mn1 0.021 0.249 0.721
Mn2 0.980 0.748 0.278
Co1 0.478 0.248 0.219
Co2 0.521 0.749 0.782
P1 0.090 0.749 0.596
P2 0.419 0.749 0.089
P3 0.580 0.249 0.910
P4 0.911 0.249 0.402
O1 0.207 0.749 0.457
O2 0.229 0.547 0.665
O3 0.230 0.951 0.665
O4 0.233 0.251 0.396
O5 0.259 0.249 0.907
O6 0.286 0.953 0.160
O7 0.287 0.545 0.159
O8 0.293 0.750 0.951
O9 0.706 0.248 0.047
O10 0.712 0.045 0.838
O11 0.713 0.452 0.839
O12 0.740 0.749 0.092
O13 0.769 0.748 0.603
O14 0.770 0.451 0.334
O15 0.776 0.047 0.332
O16 0.795 0.247 0.541

Entry 3:
Calculated powder XRD pattern
Compound: Li4Mn3Co3Sb2O16
Radiation: Cu Kα X-rays
Structure: a structure optimized by DFT (GGA+U)
Peak positions follow from Bragg's law for the DFT cell and can differ from measured ones.

Peak list (12 most intense, 2θ from 10° to 80°, in order of rising 2θ)
d/Å, I (rel.)
4.640, 366
4.560, 745
4.503, 1000
3.495, 296
2.762, 273
2.721, 281
2.575, 346
2.518, 340
2.509, 341
2.484, 328
1.993, 326
1.490, 336

Cell lengths 5.962, 5.962, 9.746 Å; angles 91.68, 91.68, 59.12 degrees
Fractional coordinates of all 28 atoms:
Li1 0.000 0.000 0.000
Li2 0.006 0.006 0.499
Li3 0.351 0.351 0.586
Li4 0.677 0.677 0.085
Mn1 0.180 0.180 0.281
Mn2 0.346 0.840 0.776
Mn3 0.840 0.346 0.776
Co1 0.180 0.669 0.271
Co2 0.669 0.180 0.271
Co3 0.838 0.838 0.773
Sb1 0.340 0.340 0.000
Sb2 0.684 0.684 0.504
O1 0.004 0.004 0.689
O2 0.013 0.013 0.190
O3 0.045 0.497 0.140
O4 0.163 0.673 0.894
O5 0.167 0.167 0.897
O6 0.343 0.847 0.401
O7 0.346 0.346 0.376
O8 0.493 0.493 0.141
O9 0.497 0.045 0.140
O10 0.534 0.534 0.643
O11 0.544 0.984 0.645
O12 0.673 0.163 0.894
O13 0.679 0.679 0.871
O14 0.844 0.844 0.392
O15 0.847 0.343 0.401
O16 0.984 0.544 0.645

Entry 4:
Calculated powder XRD pattern
Compound: Li4Mn2Co3Sb3O16
Radiation: Cu Kα X-rays
Structure: a structure optimized by DFT (GGA+U)
Peak positions follow from Bragg's law for the DFT cell and can differ from measured ones.

Peak list (12 most intense, 2θ from 10° to 80°, in order of rising 2θ)
d/Å, I (rel.)
5.273, 159
4.877, 1000
4.713, 477
4.666, 173
4.576, 204
2.637, 161
2.589, 161
2.575, 292
2.557, 250
2.522, 295
2.077, 148
1.514, 133

Cell lengths 6.060, 6.110, 9.761 Å; angles 89.88, 88.01, 60.61 degrees
Fractional coordinates of all 28 atoms:
Li1 0.000 0.000 0.000
Li2 0.010 0.002 0.485
Li3 0.366 0.336 0.106
Li4 0.692 0.662 0.586
Mn1 0.382 0.314 0.487
Mn2 0.725 0.650 0.007
Co1 0.702 0.153 0.771
Co2 0.867 0.336 0.278
Co3 0.874 0.821 0.270
Sb1 0.211 0.149 0.774
Sb2 0.212 0.642 0.773
Sb3 0.374 0.835 0.273
O1 0.046 0.996 0.179
O2 0.058 0.970 0.670
O3 0.076 0.464 0.650
O4 0.198 0.680 0.383
O5 0.203 0.152 0.391
O6 0.352 0.825 0.888
O7 0.353 0.328 0.888
O8 0.516 0.474 0.651
O9 0.519 0.013 0.658
O10 0.548 0.971 0.148
O11 0.555 0.531 0.138
O12 0.687 0.677 0.383
O13 0.701 0.156 0.383
O14 0.887 0.808 0.887
O15 0.890 0.297 0.885
O16 0.997 0.535 0.151

Entry 5:
Calculated powder XRD pattern
Compound: Li4Mn3Co2Sb3O16
Radiation: Cu Kα X-rays
Structure: a structure optimized by DFT (GGA+U)
Peak positions follow from Bragg's law for the DFT cell and can differ from measured ones.

Peak list (12 most intense, 2θ from 10° to 80°, in order of rising 2θ)
d/Å, I (rel.)
4.907, 1000
4.743, 338
4.681, 455
4.652, 218
2.601, 340
2.586, 346
2.564, 273
2.556, 304
2.341, 242
2.066, 355
1.573, 248
1.545, 281

Cell lengths 6.181, 6.181, 9.815 Å; angles 90.69, 90.69, 59.10 degrees
Fractional coordinates of all 28 atoms:
Li1 0.000 0.000 0.000
Li2 0.008 0.008 0.513
Li3 0.332 0.332 0.630
Li4 0.669 0.669 0.109
Mn1 0.164 0.164 0.289
Mn2 0.332 0.826 0.791
Mn3 0.826 0.332 0.791
Co1 0.322 0.322 0.995
Co2 0.652 0.652 0.525
Sb1 0.164 0.657 0.291
Sb2 0.657 0.164 0.291
Sb3 0.823 0.823 0.791
O1 0.032 0.484 0.176
O2 0.146 0.675 0.904
O3 0.149 0.149 0.895
O4 0.308 0.831 0.400
O5 0.342 0.342 0.409
O6 0.481 0.481 0.174
O7 0.484 0.032 0.176
O8 0.514 0.960 0.669
O9 0.517 0.517 0.682
O10 0.670 0.670 0.907
O11 0.675 0.146 0.904
O12 0.831 0.308 0.400
O13 0.841 0.841 0.404
O14 0.960 0.514 0.669
O15 0.983 0.983 0.184
O16 0.985 0.985 0.691

Entry 6:
Calculated powder XRD pattern
Compound: Li4Mn3Co3Sb2O16
Radiation: Cu Kα X-rays
Structure: a structure optimized by DFT (GGA+U)
Peak positions follow from Bragg's law for the DFT cell and can differ from measured ones.

Peak list (12 most intense, 2θ from 10° to 80°, in order of rising 2θ)
d/Å, I (rel.)
4.605, 334
4.565, 646
4.534, 1000
3.521, 403
2.733, 381
2.564, 212
2.549, 185
2.533, 522
2.519, 251
2.501, 216
2.483, 209
2.009, 197

Cell lengths 5.916, 5.967, 19.390 Å; angles 90.45, 90.27, 119.37 degrees
Fractional coordinates of all 56 atoms:
Li1 0.000 0.000 0.000
Li2 0.000 0.007 0.749
Li3 0.009 0.019 0.250
Li4 0.013 0.018 0.500
Li5 0.333 0.683 0.291
Li6 0.348 0.699 0.792
Li7 0.668 0.338 0.041
Li8 0.683 0.356 0.543
Mn1 0.662 0.837 0.138
Mn2 0.664 0.846 0.638
Mn3 0.827 0.676 0.387
Mn4 0.828 0.668 0.886
Mn5 0.831 0.178 0.888
Mn6 0.848 0.194 0.387
Co1 0.172 0.348 0.137
Co2 0.174 0.841 0.138
Co3 0.174 0.843 0.636
Co4 0.176 0.357 0.639
Co5 0.339 0.179 0.888
Co6 0.348 0.177 0.388
Sb1 0.322 0.662 0.000
Sb2 0.344 0.684 0.501
Sb3 0.664 0.346 0.750
Sb4 0.668 0.346 0.250
O1 0.010 0.015 0.345
O2 0.034 0.543 0.074
O3 0.047 0.546 0.568
O4 0.146 0.327 0.949
O5 0.154 0.828 0.945
O6 0.166 0.348 0.449
O7 0.200 0.873 0.448
O8 0.328 0.180 0.701
O9 0.332 0.163 0.194
O10 0.339 0.690 0.186
O11 0.351 0.707 0.689
O12 0.447 0.487 0.069
O13 0.477 0.455 0.320
O14 0.502 0.968 0.067
O15 0.506 0.985 0.574
O16 0.507 0.552 0.574
O17 0.534 0.513 0.823
O18 0.537 0.058 0.821
O19 0.555 0.049 0.319
O20 0.660 0.813 0.947
O21 0.674 0.349 0.436
O22 0.677 0.834 0.448
O23 0.688 0.359 0.937
O24 0.815 0.681 0.200
O25 0.824 0.681 0.695
O26 0.828 0.171 0.696
O27 0.861 0.207 0.197
O28 0.968 0.530 0.320
O29 0.973 0.524 0.818
O30 0.983 0.997 0.843
O31 0.993 0.998 0.594
O32 0.996 0.993 0.095

Entry 7:
Calculated powder XRD pattern
Compound: Li4Mn2Co3Te3O16
Radiation: Cu Kα X-rays
Structure: a structure optimized by DFT (GGA+U)
Peak positions follow from Bragg's law for the DFT cell and can differ from measured ones.

Peak list (12 most intense, 2θ from 10° to 80°, in order of rising 2θ)
d/Å, I (rel.)
4.981, 1000
4.855, 145
4.765, 190
4.696, 248
4.637, 234
3.678, 167
2.651, 232
2.607, 170
2.596, 182
2.587, 202
2.146, 155
1.576, 154

Cell lengths 6.134, 6.203, 9.970 Å; angles 87.86, 89.77, 61.29 degrees
Fractional coordinates of all 28 atoms:
Li1 0.000 0.000 0.000
Li2 0.026 0.972 0.514
Li3 0.336 0.315 0.406
Li4 0.697 0.620 0.880
Mn1 0.398 0.277 0.980
Mn2 0.700 0.669 0.518
Co1 0.204 0.635 0.725
Co2 0.702 0.133 0.723
Co3 0.844 0.839 0.220
Te1 0.206 0.136 0.722
Te2 0.350 0.832 0.218
Te3 0.844 0.349 0.226
O1 0.043 0.978 0.821
O2 0.056 0.963 0.331
O3 0.088 0.417 0.847
O4 0.181 0.700 0.115
O5 0.222 0.122 0.096
O6 0.340 0.841 0.613
O7 0.358 0.298 0.613
O8 0.509 0.984 0.834
O9 0.517 0.955 0.331
O10 0.521 0.512 0.334
O11 0.535 0.412 0.841
O12 0.661 0.672 0.109
O13 0.687 0.153 0.096
O14 0.857 0.845 0.622
O15 0.893 0.293 0.614
O16 0.975 0.513 0.344

Entry 8:
Calculated powder XRD pattern
Compound: Li4Mn3Co3Te2O16
Radiation: Cu Kα X-rays
Structure: a structure optimized by DFT (GGA+U)
Peak positions follow from Bragg's law for the DFT cell and can differ from measured ones.

Peak list (12 most intense, 2θ from 10° to 80°, in order of rising 2θ)
d/Å, I (rel.)
4.608, 702
4.583, 1000
4.550, 362
3.583, 313
3.558, 229
2.782, 411
2.763, 232
2.562, 468
2.509, 295
2.044, 213
1.575, 167
1.563, 172

Cell lengths 5.960, 5.994, 9.834 Å; angles 89.32, 89.37, 60.29 degrees
Fractional coordinates of all 28 atoms:
Li1 0.000 0.000 0.000
Li2 0.001 0.003 0.502
Li3 0.335 0.335 0.072
Li4 0.674 0.672 0.573
Mn1 0.173 0.175 0.776
Mn2 0.344 0.836 0.274
Mn3 0.834 0.345 0.274
Co1 0.177 0.663 0.771
Co2 0.658 0.178 0.766
Co3 0.832 0.834 0.268
Te1 0.339 0.343 0.502
Te2 0.668 0.672 0.001
O1 0.013 0.014 0.191
O2 0.042 0.487 0.629
O3 0.179 0.667 0.396
O4 0.181 0.180 0.398
O5 0.346 0.837 0.896
O6 0.348 0.323 0.869
O7 0.491 0.043 0.632
O8 0.492 0.482 0.633
O9 0.518 0.520 0.127
O10 0.518 0.966 0.132
O11 0.662 0.663 0.369
O12 0.665 0.179 0.396
O13 0.831 0.835 0.899
O14 0.833 0.348 0.895
O15 0.964 0.519 0.131
O16 0.995 0.020 0.692